# 1
For TiInS4, a cell relaxed with GGA-PBE gives the theoretical powder X-ray diffraction pattern in this record (Cu Kα X-rays).
Intensities are scaled so that the largest is 100.

Largest 8 diffraction maxima, most intense first, 2θ from 15° to 90°:
- 5.733 Å, 15.46°, I = 100.0
- 2.761 Å, 32.43°, I = 83.8
- 2.750 Å, 32.56°, I = 45.7
- 2.136 Å, 42.32°, I = 31.4
- 2.075 Å, 43.62°, I = 26.9
- 1.842 Å, 49.47°, I = 24.7
- 1.606 Å, 57.37°, I = 15.4
- 3.377 Å, 26.39°, I = 14.2

Unit cell a=6.662 b=6.662 c=6.492 alpha=115.78 beta=115.78 gamma=30.73
Sites, in units of the cell vectors:
Ti1 0.000 0.000 0.000
In1 0.500 0.500 0.500
S1 0.124 0.124 0.800
S2 0.377 0.377 0.751
S3 0.623 0.623 0.249
S4 0.876 0.876 0.200


# 2
For Np2InPdRh4, a cell relaxed with GGA-PBE gives the theoretical powder X-ray diffraction pattern in this record (Cu Kα X-rays).
Intensities are scaled so that the largest is 100.

Largest 8 diffraction maxima, most intense first, 2θ from 15° to 90°:
- 2.490 Å, 36.07°, I = 100.0
- 2.122 Å, 42.61°, I = 50.1
- 2.021 Å, 44.84°, I = 40.5
- 2.344 Å, 38.40°, I = 38.4
- 2.663 Å, 33.65°, I = 35.0
- 2.574 Å, 34.86°, I = 34.6
- 3.778 Å, 23.55°, I = 29.3
- 1.992 Å, 45.54°, I = 28.9

Unit cell a=5.682 b=5.682 c=14.064 alpha=90.00 beta=90.00 gamma=138.32
Sites, in units of the cell vectors:
Np1 0.149 0.851 0.583
Np2 0.149 0.851 0.917
Np3 0.851 0.149 0.083
Np4 0.851 0.149 0.417
In1 0.380 0.620 0.750
In2 0.620 0.380 0.250
Pd1 0.299 0.701 0.250
Pd2 0.701 0.299 0.750
Rh1 0.040 0.960 0.750
Rh2 0.141 0.859 0.098
Rh3 0.141 0.859 0.402
Rh4 0.500 0.500 0.000
Rh5 0.500 0.500 0.500
Rh6 0.859 0.141 0.598
Rh7 0.859 0.141 0.902
Rh8 0.960 0.040 0.250